(1)
Structure and theoretical X-ray powder pattern of In3Pt (a GGA-PBE-relaxed structure; Cu Kα (weighted mean of Kα1 and Kα2)).
No peak broadening, texture or thermal motion is included.

Atomic structure:
Cell lengths 7.378, 8.244, 5.942 Å; angles 90.00, 90.00, 90.00 degrees
Positions (direct):
In 0.008 0.250 0.101
In 0.177 0.057 0.648
In 0.177 0.443 0.648
In 0.323 0.557 0.148
In 0.323 0.943 0.148
In 0.492 0.750 0.601
In 0.508 0.250 0.399
In 0.677 0.057 0.852
In 0.677 0.443 0.852
In 0.823 0.557 0.352
In 0.823 0.943 0.352
In 0.992 0.750 0.899
Pt 0.128 0.750 0.457
Pt 0.372 0.250 0.957
Pt 0.628 0.750 0.043
Pt 0.872 0.250 0.543

Most intense lines, 2θ from 15° to 90°, by intensity:
d [Å]  intensity
2.363  100
2.614  100
2.272  98
2.495  87
2.751  81
2.204  78


(2)
Structure and theoretical X-ray powder pattern of La3Y2Tm (a GGA-PBE-relaxed structure; Cu Kα (weighted mean of Kα1 and Kα2)).
No peak broadening, texture or thermal motion is included.

Atomic structure:
Cell lengths 9.790, 9.790, 6.392 Å; angles 102.42, 102.42, 43.79 degrees
Positions (direct):
La 0.040 0.292 0.024
La 0.127 0.873 0.750
La 0.292 0.040 0.524
La 0.708 0.960 0.476
La 0.873 0.127 0.250
La 0.960 0.708 0.976
Y 0.213 0.457 0.470
Y 0.457 0.213 0.970
Y 0.543 0.787 0.030
Y 0.787 0.543 0.530
Tm 0.381 0.619 0.250
Tm 0.619 0.381 0.750

Most intense lines, 2θ from 15° to 90°, by intensity:
d [Å]  intensity
2.861  100
2.719  84
2.946  72
2.876  50
2.740  43
3.148  43


(3)
Structure and theoretical X-ray powder pattern of Zn7SnN6 (a GGA-PBE-relaxed structure; Cu Kα (weighted mean of Kα1 and Kα2)).
No peak broadening, texture or thermal motion is included.

Atomic structure:
Cell lengths 10.850, 6.033, 12.475 Å; angles 90.00, 90.00, 90.00 degrees
Positions (direct):
Zn 0.000 0.090 0.250
Zn 0.000 0.910 0.750
Zn 0.035 0.267 0.042
Zn 0.035 0.733 0.542
Zn 0.207 0.136 0.574
Zn 0.207 0.864 0.074
Zn 0.243 0.152 0.846
Zn 0.243 0.848 0.346
Zn 0.257 0.348 0.346
Zn 0.257 0.652 0.846
Zn 0.293 0.364 0.074
Zn 0.293 0.636 0.574
Zn 0.465 0.233 0.542
Zn 0.465 0.767 0.042
Zn 0.500 0.410 0.750
Zn 0.500 0.590 0.250
Zn 0.535 0.233 0.958
Zn 0.535 0.767 0.458
Zn 0.707 0.364 0.426
Zn 0.707 0.636 0.926
Zn 0.743 0.348 0.154
Zn 0.743 0.652 0.654
Zn 0.757 0.152 0.654
Zn 0.757 0.848 0.154
Zn 0.793 0.136 0.926
Zn 0.793 0.864 0.426
Zn 0.965 0.267 0.458
Zn 0.965 0.733 0.958
Sn 0.000 0.399 0.750
Sn 0.000 0.601 0.250
Sn 0.500 0.101 0.250
Sn 0.500 0.899 0.750
N 0.073 0.351 0.349
N 0.073 0.649 0.849
N 0.133 0.155 0.718
N 0.133 0.845 0.218
N 0.183 0.149 0.996
N 0.183 0.851 0.496
N 0.317 0.351 0.496
N 0.317 0.649 0.996
N 0.367 0.345 0.218
N 0.367 0.655 0.718
N 0.427 0.149 0.849
N 0.427 0.851 0.349
N 0.573 0.149 0.651
N 0.573 0.851 0.151
N 0.633 0.345 0.282
N 0.633 0.655 0.782
N 0.683 0.351 0.004
N 0.683 0.649 0.504
N 0.817 0.149 0.504
N 0.817 0.851 0.004
N 0.867 0.155 0.782
N 0.867 0.845 0.282
N 0.927 0.351 0.151
N 0.927 0.649 0.651

Most intense lines, 2θ from 15° to 90°, by intensity:
d [Å]  intensity
2.579  100
2.713  72
2.704  71
2.442  52
2.997  41
2.428  41


(4)
Structure and theoretical X-ray powder pattern of Dy3Er8Th (a GGA-PBE-relaxed structure; Cu Kα (weighted mean of Kα1 and Kα2)).
No peak broadening, texture or thermal motion is included.

Atomic structure:
Cell lengths 9.376, 9.376, 9.376 Å; angles 131.90, 131.90, 70.38 degrees
Positions (direct):
Dy 0.000 0.000 0.000
Dy 0.250 0.750 0.500
Dy 0.750 0.250 0.500
Er 0.125 0.125 0.500
Er 0.125 0.625 0.000
Er 0.375 0.375 0.500
Er 0.375 0.875 0.000
Er 0.625 0.125 0.000
Er 0.625 0.625 0.500
Er 0.875 0.375 0.000
Er 0.875 0.875 0.500
Th 0.500 0.500 0.000

Most intense lines, 2θ from 15° to 90°, by intensity:
d [Å]  intensity
2.704  100
1.561  38
4.416  28
2.306  15
1.910  12
3.824  11